# Ca2Mg
Calculated powder XRD pattern, a wavelength of 1.5418 Å. Input: a DFT-relaxed cell (PBE, the Materials Project).

Top 10 peaks for 2θ from 15° to 90°, in order of rising 2θ:
| index | 2theta | intensity |
| --- | --- | --- |
| 1 1 -1 | 25.67 | 208 |
| 4 0 -1 | 28.08 | 202 |
| 2 0 -3 | 28.59 | 253 |
| 4 0 -2 | 29.51 | 376 |
| 2 0 2 | 29.62 | 619 |
| 1 1 -2 | 30.30 | 1000 |
| 3 1 0 | 32.88 | 904 |
| 6 0 0 | 46.15 | 307 |
| 5 1 2 | 56.30 | 174 |
| 2 2 2 | 57.55 | 261 |

Crystal structure
abc: 12.7211 3.7776 9.4465
angles: 90.00 112.01 90.00
Space group C2/m (No. 12)
Unique sites:
Ca: 0.0193 0.0000 0.2107 [4 per cell]
Ca: 0.1647 0.5000 0.6090 [4 per cell]
Mg: 0.1853 0.5000 0.0670 [4 per cell]